This entry pairs a crystal structure of ZnCd4Ga10S20 with its computed powder X-ray diffraction pattern. Radiation: a wavelength of 1.5418 Å. Structure: a crystal structure in Alexandria, relaxed with GGA-PBE.
Intensities are scaled so that the largest is 100.

Top 6 peaks for 2θ from 10° to 80°, sorted by position:
index, Position (°2θ), I (rel.)
1 0 1, 18.06, 22
1 0 -4, 22.56, 13
1 0 6, 28.43, 100
2 -2 8, 46.06, 22
-2 3 4, 47.88, 39
3 -1 6, 55.02, 28

Crystal structure
Unit cell a=5.5716 b=6.5196 c=24.6021 alpha=92.91 beta=90.03 gamma=115.29
Space group P1 (No. 1)
One atom of each set of equivalent atoms:
Zn: 0.0000 0.0000 0.0000 [1 per cell]
Cd: 0.1966 0.3882 0.8034 [1 per cell]
Cd: 0.4033 0.8011 0.6017 [1 per cell]
Cd: 0.6078 0.2096 0.3994 [1 per cell]
Cd: 0.8183 0.6244 0.1975 [1 per cell]
Ga: 0.0045 0.0026 0.4999 [1 per cell]
Ga: 0.1176 0.2210 0.1460 [1 per cell]
Ga: 0.2087 0.4109 0.2973 [1 per cell]
Ga: 0.2953 0.5971 0.9531 [1 per cell]
Ga: 0.4138 0.8239 0.0969 [1 per cell]
Ga: 0.4996 0.9911 0.7531 [1 per cell]
Ga: 0.5985 0.1912 0.9048 [1 per cell]
Ga: 0.7042 0.4020 0.5507 [1 per cell]
Ga: 0.7991 0.5920 0.7023 [1 per cell]
Ga: 0.9080 0.8103 0.3486 [1 per cell]
S: 0.0398 0.5342 0.3711 [1 per cell]
S: 0.0803 0.6927 0.5197 [1 per cell]
S: 0.1033 0.7002 0.0262 [1 per cell]
S: 0.1859 0.9035 0.6839 [1 per cell]
S: 0.2550 0.9515 0.1713 [1 per cell]
S: 0.2838 0.1011 0.3175 [1 per cell]
S: 0.3081 0.0638 0.8305 [1 per cell]
S: 0.3911 0.3138 0.4814 [1 per cell]
S: 0.4017 0.3054 0.9763 [1 per cell]
S: 0.4925 0.5145 0.1159 [1 per cell]
S: 0.5097 0.4728 0.6279 [1 per cell]
S: 0.5958 0.7230 0.2793 [1 per cell]
S: 0.6303 0.7151 0.7762 [1 per cell]
S: 0.6864 0.8872 0.9260 [1 per cell]
S: 0.7139 0.8814 0.4258 [1 per cell]
S: 0.8109 0.1195 0.0746 [1 per cell]
S: 0.8356 0.1262 0.5737 [1 per cell]
S: 0.8746 0.2811 0.7214 [1 per cell]
S: 0.9198 0.2924 0.2226 [1 per cell]
S: 0.9801 0.5036 0.8840 [1 per cell]